No. 1
The following is a calculated PXRD pattern of LiCd2Au3. It was derived from DFT lattice parameters and positions (PBE), using CuKα.
Intensities are scaled so that the largest is 100.

Top 10 peaks for 10 to 90 degrees two-theta, sorted by position:
hkl 0 2 0, 2θ = 25.73°, rel. 23; hkl 1 0 1, 2θ = 27.19°, rel. 22; hkl 1 0 -2, 2θ = 27.79°, rel. 21; hkl 1 2 1, 2θ = 37.78°, rel. 100; hkl 1 2 -2, 2θ = 38.23°, rel. 96; hkl 0 0 3, 2θ = 39.18°, rel. 45; hkl 2 0 -1, 2θ = 39.37°, rel. 48; hkl 2 4 -1, 2θ = 67.88°, rel. 16; hkl 3 2 0, 2θ = 70.04°, rel. 16; hkl 3 2 -3, 2θ = 70.92°, rel. 16

Structure:
abc: 4.5786 6.9257 7.2228
angles: 90.00 107.25 90.00
Space group P2/m (No. 10)
Asymmetric unit:
1 Li 0.1639 0.0000 0.3200 (multiplicity 2)
2 Cd 0.1718 0.5000 0.3345 (multiplicity 2)
3 Cd 0.5000 0.0000 0.0000 (multiplicity 1)
4 Cd 0.5000 0.5000 0.0000 (multiplicity 1)
5 Au 0.0000 0.2435 0.0000 (multiplicity 2)
6 Au 0.3191 0.2213 0.6471 (multiplicity 4)

No. 2
The following is a calculated PXRD pattern of Cs3K8Pd. It was derived from DFT lattice parameters and positions (PBE), using CuKα.
Intensities are scaled so that the largest is 100.

Top 10 peaks for 10 to 90 degrees two-theta, sorted by position:
hkl 1 0 1, 2θ = 11.66°, rel. 37; hkl 2 0 1, 2θ = 16.92°, rel. 100; hkl 2 1 1, 2θ = 20.93°, rel. 44; hkl 1 1 2, 2θ = 22.32°, rel. 30; hkl 3 0 1, 2θ = 23.23°, rel. 32; hkl 2 0 2, 2θ = 23.44°, rel. 70; hkl 2 2 0, 2θ = 24.59°, rel. 99; hkl 3 1 1, 2θ = 27.29°, rel. 34; hkl 3 0 2, 2θ = 28.39°, rel. 28; hkl 4 2 1, 2θ = 39.17°, rel. 36

Structure:
abc: 14.4800 14.4800 9.5375
angles: 90.00 90.00 120.00
Space group P6_3mc (No. 186)
Asymmetric unit:
1 Cs 0.1566 0.3133 0.0000 (multiplicity 6)
2 K 0.0000 0.0000 0.2501 (multiplicity 2)
3 K 0.0583 0.5291 0.2247 (multiplicity 6)
4 K 0.2321 0.4643 0.5094 (multiplicity 6)
5 K 0.3333 0.6667 0.9264 (multiplicity 2)
6 Pd 0.3333 0.6667 0.2683 (multiplicity 2)